For Ba6SrI14, a DFT-relaxed cell (PBE, the Materials Project) gives the simulated powder diffraction line list in this record (CuKα).
Kinematic intensities with the Lorentz-polarization factor, no thermal factor.

Structural model:
```
Ba6SrI14
1.0
12.0634 -10.2966 0.0000
12.0634 10.2966 0.0000
0.0000 0.0000 8.8351
Ba Sr I
12 2 28
Direct
0.0517 0.2485 0.8285
0.1979 0.8021 0.7548
0.2485 0.0517 0.1715
0.2515 0.4483 0.6715
0.3021 0.6979 0.2548
0.4483 0.2515 0.3285
0.5517 0.7485 0.6715
0.6979 0.3021 0.7452
0.7485 0.5517 0.3285
0.7515 0.9483 0.8285
0.8021 0.1979 0.2452
0.9483 0.7515 0.1715
0.0000 0.0000 0.5000
0.5000 0.5000 0.0000
0.0335 0.1557 0.2675
0.0463 0.4537 0.7500
0.1219 0.8781 0.2731
0.1421 0.6572 0.0096
0.1557 0.0335 0.7325
0.1572 0.6421 0.5096
0.2477 0.2477 0.0000
0.2523 0.2523 0.5000
0.3428 0.8579 0.0096
0.3443 0.4665 0.2325
0.3579 0.8428 0.5096
0.3781 0.6219 0.7731
0.4537 0.0463 0.2500
0.4665 0.3443 0.7675
0.5335 0.6557 0.2325
0.5463 0.9537 0.7500
0.6219 0.3781 0.2269
0.6421 0.1572 0.4904
0.6557 0.5335 0.7675
0.6572 0.1421 0.9904
0.7477 0.7477 0.5000
0.7523 0.7523 0.0000
0.8428 0.3579 0.4904
0.8443 0.9665 0.2675
0.8579 0.3428 0.9904
0.8781 0.1219 0.7269
0.9537 0.5463 0.2500
0.9665 0.8443 0.7325
```

Peak list (10 most intense, 10° ≤ 2θ ≤ 80°, low angle first)
2θ (°)	I_rel
15.12	15
25.84	17
26.46	100
26.59	25
28.16	25
28.87	21
29.62	16
29.95	76
40.55	16
46.65	18